Simulated powder XRD pattern of Nd2PPt6 for Cu Kα, 1.54184 Å, from a GGA-PBE-relaxed structure.

Peak list (10 most intense, 10 to 90 degrees two-theta, low angle first)
2.961 Å, I = 47; 2.409 Å, I = 14; 2.396 Å, I = 52; 2.373 Å, I = 100; 2.176 Å, I = 69; 2.126 Å, I = 31; 1.914 Å, I = 12; 1.430 Å, I = 12; 1.425 Å, I = 24; 1.228 Å, I = 13

Structural model:
```
Nd2PPt6
1.0
4.934 -2.859 0.000
4.934 2.859 0.000
-1.448 0.000 5.922
Nd P Pt
2 1 6
Direct
0.140 0.140 0.348
0.860 0.860 0.652
0.500 0.500 0.500
0.113 0.617 0.193
0.378 0.378 0.794
0.383 0.887 0.807
0.617 0.113 0.193
0.622 0.622 0.206
0.887 0.383 0.807
```


Simulated powder XRD pattern of Nd2P4Pt3Rh for Cu Kα, 1.54184 Å, from a GGA-PBE-relaxed structure.

Peak list (10 most intense, 10 to 90 degrees two-theta, low angle first)
3.194 Å, I = 34; 3.029 Å, I = 14; 2.889 Å, I = 41; 2.561 Å, I = 100; 2.142 Å, I = 45; 1.879 Å, I = 14; 1.779 Å, I = 18; 1.643 Å, I = 27; 1.515 Å, I = 15; 1.304 Å, I = 18

Structural model:
```
Nd2P4Pt3Rh
1.0
4.284 0.000 0.000
0.000 4.284 0.000
0.000 0.000 9.582
Nd P Pt Rh
2 4 3 1
Direct
0.000 0.500 0.247
0.500 0.000 0.753
0.000 0.000 0.000
0.000 0.500 0.631
0.500 0.000 0.369
0.500 0.500 0.000
0.000 0.500 0.882
0.500 0.000 0.118
0.500 0.500 0.500
0.000 0.000 0.500
```